[1]
Diffraction record for La2NdGdZn12Ge6. The powder diffractogram is simulated, not measured: it uses the PBE geometry in OQMD and Cu Ka.
Peak positions follow from Bragg's law for the DFT cell and can differ from measured ones.

Crystal structure
Lattice parameters (Å, degrees): 7.684 4.109 13.307 90.00 90.00 90.00
Space group Pm (No. 6)
Asymmetric unit:
La (0.000, 0.000, 0.000) [1 per cell]
La (0.500, 0.000, 0.169) [1 per cell]
Nd (0.499, 0.000, 0.503) [1 per cell]
Gd (0.999, 0.000, 0.667) [1 per cell]
Zn (0.142, 0.500, 0.480) [1 per cell]
Zn (0.144, 0.500, 0.192) [1 per cell]
Zn (0.189, 0.000, 0.337) [1 per cell]
Zn (0.211, 0.500, 0.833) [1 per cell]
Zn (0.401, 0.000, 0.740) [1 per cell]
Zn (0.408, 0.000, 0.929) [1 per cell]
Zn (0.642, 0.500, 0.690) [1 per cell]
Zn (0.645, 0.500, 0.977) [1 per cell]
Zn (0.689, 0.000, 0.832) [1 per cell]
Zn (0.712, 0.500, 0.337) [1 per cell]
Zn (0.904, 0.000, 0.431) [1 per cell]
Zn (0.907, 0.000, 0.241) [1 per cell]
Ge (0.304, 0.500, 0.644) [1 per cell]
Ge (0.310, 0.500, 0.025) [1 per cell]
Ge (0.382, 0.500, 0.337) [1 per cell]
Ge (0.810, 0.500, 0.145) [1 per cell]
Ge (0.810, 0.500, 0.529) [1 per cell]
Ge (0.883, 0.500, 0.831) [1 per cell]

Main lines, low angle first (5° ≤ 2θ ≤ 70°):
| index | Position (°2θ) | I_rel |
| --- | --- | --- |
| 2 1 0 | 31.89 | 100 |
| 1 0 -5 | 35.70 | 22 |
| 3 0 3 | 40.68 | 32 |
| 1 1 -5 | 42.13 | 53 |
| 0 2 0 | 44.08 | 24 |
| 5 1 3 | 68.54 | 21 |


[2]
Diffraction record for La2NdGdZn12Ge6. The powder diffractogram is simulated, not measured: it uses the PBE geometry in OQMD and Cu Ka.
Peak positions follow from Bragg's law for the DFT cell and can differ from measured ones.

Crystal structure
Lattice parameters (Å, degrees): 7.686 4.113 13.315 90.00 90.00 90.00
Space group Pm (No. 6)
Asymmetric unit:
La (0.000, 0.000, 0.000) [1 per cell]
La (0.500, 0.000, 0.499) [1 per cell]
Nd (0.500, 0.000, 0.833) [1 per cell]
Gd (0.000, 0.000, 0.333) [1 per cell]
Zn (0.144, 0.500, 0.521) [1 per cell]
Zn (0.144, 0.500, 0.810) [1 per cell]
Zn (0.189, 0.000, 0.668) [1 per cell]
Zn (0.211, 0.500, 0.167) [1 per cell]
Zn (0.401, 0.000, 0.260) [1 per cell]
Zn (0.409, 0.000, 0.071) [1 per cell]
Zn (0.644, 0.500, 0.310) [1 per cell]
Zn (0.645, 0.500, 0.022) [1 per cell]
Zn (0.689, 0.000, 0.169) [1 per cell]
Zn (0.712, 0.500, 0.665) [1 per cell]
Zn (0.903, 0.000, 0.759) [1 per cell]
Zn (0.909, 0.000, 0.570) [1 per cell]
Ge (0.304, 0.500, 0.356) [1 per cell]
Ge (0.311, 0.500, 0.975) [1 per cell]
Ge (0.381, 0.500, 0.667) [1 per cell]
Ge (0.808, 0.500, 0.856) [1 per cell]
Ge (0.812, 0.500, 0.473) [1 per cell]
Ge (0.883, 0.500, 0.169) [1 per cell]

Main lines, low angle first (5° ≤ 2θ ≤ 70°):
| index | Position (°2θ) | I_rel |
| --- | --- | --- |
| 2 1 0 | 31.87 | 100 |
| 3 0 1 | 35.68 | 22 |
| 3 0 3 | 40.66 | 33 |
| 3 1 1 | 42.10 | 53 |
| 0 2 0 | 44.03 | 24 |
| 4 1 6 | 68.50 | 21 |


[3]
Diffraction record for La2NdGdZn12Ge6. The powder diffractogram is simulated, not measured: it uses the PBE geometry in OQMD and Cu Ka.
Peak positions follow from Bragg's law for the DFT cell and can differ from measured ones.

Crystal structure
Lattice parameters (Å, degrees): 7.683 4.109 13.304 90.00 90.00 90.00
Space group Pm (No. 6)
Asymmetric unit:
La (0.000, 0.000, 0.000) [1 per cell]
La (0.000, 0.000, 0.335) [1 per cell]
Nd (0.499, 0.000, 0.833) [1 per cell]
Gd (0.499, 0.000, 0.501) [1 per cell]
Zn (0.095, 0.000, 0.761) [1 per cell]
Zn (0.098, 0.000, 0.574) [1 per cell]
Zn (0.290, 0.500, 0.667) [1 per cell]
Zn (0.311, 0.000, 0.167) [1 per cell]
Zn (0.356, 0.500, 0.022) [1 per cell]
Zn (0.357, 0.500, 0.313) [1 per cell]
Zn (0.591, 0.000, 0.264) [1 per cell]
Zn (0.592, 0.000, 0.072) [1 per cell]
Zn (0.786, 0.500, 0.168) [1 per cell]
Zn (0.810, 0.000, 0.666) [1 per cell]
Zn (0.854, 0.500, 0.810) [1 per cell]
Zn (0.855, 0.500, 0.524) [1 per cell]
Ge (0.119, 0.500, 0.168) [1 per cell]
Ge (0.191, 0.500, 0.857) [1 per cell]
Ge (0.196, 0.500, 0.478) [1 per cell]
Ge (0.616, 0.500, 0.665) [1 per cell]
Ge (0.687, 0.500, 0.361) [1 per cell]
Ge (0.689, 0.500, 0.976) [1 per cell]

Main lines, low angle first (5° ≤ 2θ ≤ 70°):
| index | Position (°2θ) | I_rel |
| --- | --- | --- |
| 2 1 0 | 31.89 | 100 |
| 2 0 -4 | 35.71 | 22 |
| 3 0 3 | 40.69 | 33 |
| 3 1 1 | 42.13 | 53 |
| 0 2 0 | 44.08 | 24 |
| 4 1 6 | 68.55 | 21 |


[4]
Diffraction record for La2PrGdZn12Ge6. The powder diffractogram is simulated, not measured: it uses the PBE geometry in OQMD and Cu Ka.
Peak positions follow from Bragg's law for the DFT cell and can differ from measured ones.

Crystal structure
Lattice parameters (Å, degrees): 7.687 4.117 13.316 90.00 90.00 90.00
Space group Pm (No. 6)
Asymmetric unit:
La (0.000, 0.000, 0.000) [1 per cell]
La (0.500, 0.000, 0.498) [1 per cell]
Pr (0.500, 0.000, 0.832) [1 per cell]
Gd (0.000, 0.000, 0.333) [1 per cell]
Zn (0.143, 0.500, 0.521) [1 per cell]
Zn (0.144, 0.500, 0.810) [1 per cell]
Zn (0.189, 0.000, 0.667) [1 per cell]
Zn (0.211, 0.500, 0.166) [1 per cell]
Zn (0.400, 0.000, 0.259) [1 per cell]
Zn (0.409, 0.000, 0.071) [1 per cell]
Zn (0.643, 0.500, 0.310) [1 per cell]
Zn (0.645, 0.500, 0.023) [1 per cell]
Zn (0.689, 0.000, 0.169) [1 per cell]
Zn (0.712, 0.500, 0.665) [1 per cell]
Zn (0.903, 0.000, 0.759) [1 per cell]
Zn (0.909, 0.000, 0.569) [1 per cell]
Ge (0.304, 0.500, 0.356) [1 per cell]
Ge (0.310, 0.500, 0.975) [1 per cell]
Ge (0.381, 0.500, 0.666) [1 per cell]
Ge (0.809, 0.500, 0.856) [1 per cell]
Ge (0.812, 0.500, 0.473) [1 per cell]
Ge (0.882, 0.500, 0.169) [1 per cell]

Main lines, low angle first (5° ≤ 2θ ≤ 70°):
| index | Position (°2θ) | I_rel |
| --- | --- | --- |
| 2 1 0 | 31.85 | 100 |
| 3 0 1 | 35.68 | 22 |
| 3 0 3 | 40.65 | 33 |
| 3 1 1 | 42.09 | 53 |
| 0 2 0 | 43.99 | 24 |
| 4 1 6 | 68.49 | 21 |


Copy entry 2 word for word.
Diffraction record for La2NdGdZn12Ge6. The powder diffractogram is simulated, not measured: it uses the PBE geometry in OQMD and Cu Ka.
Peak positions follow from Bragg's law for the DFT cell and can differ from measured ones.

Crystal structure
Lattice parameters (Å, degrees): 7.686 4.113 13.315 90.00 90.00 90.00
Space group Pm (No. 6)
Asymmetric unit:
La (0.000, 0.000, 0.000) [1 per cell]
La (0.500, 0.000, 0.499) [1 per cell]
Nd (0.500, 0.000, 0.833) [1 per cell]
Gd (0.000, 0.000, 0.333) [1 per cell]
Zn (0.144, 0.500, 0.521) [1 per cell]
Zn (0.144, 0.500, 0.810) [1 per cell]
Zn (0.189, 0.000, 0.668) [1 per cell]
Zn (0.211, 0.500, 0.167) [1 per cell]
Zn (0.401, 0.000, 0.260) [1 per cell]
Zn (0.409, 0.000, 0.071) [1 per cell]
Zn (0.644, 0.500, 0.310) [1 per cell]
Zn (0.645, 0.500, 0.022) [1 per cell]
Zn (0.689, 0.000, 0.169) [1 per cell]
Zn (0.712, 0.500, 0.665) [1 per cell]
Zn (0.903, 0.000, 0.759) [1 per cell]
Zn (0.909, 0.000, 0.570) [1 per cell]
Ge (0.304, 0.500, 0.356) [1 per cell]
Ge (0.311, 0.500, 0.975) [1 per cell]
Ge (0.381, 0.500, 0.667) [1 per cell]
Ge (0.808, 0.500, 0.856) [1 per cell]
Ge (0.812, 0.500, 0.473) [1 per cell]
Ge (0.883, 0.500, 0.169) [1 per cell]

Main lines, low angle first (5° ≤ 2θ ≤ 70°):
| index | Position (°2θ) | I_rel |
| --- | --- | --- |
| 2 1 0 | 31.87 | 100 |
| 3 0 1 | 35.68 | 22 |
| 3 0 3 | 40.66 | 33 |
| 3 1 1 | 42.10 | 53 |
| 0 2 0 | 44.03 | 24 |
| 4 1 6 | 68.50 | 21 |